Starting from the PBE geometry in OQMD, the powder diffraction line list of ZrTaAlC was calculated for Cu Kα.
Kinematic intensities with the Lorentz-polarization factor, no thermal factor.

Crystal structure
a b c (Å): 3.1950 3.1950 14.2836
angles (deg): 90.00 90.00 120.00
Sites, in units of the cell vectors:
Zr1 0.0000 0.0000 0.1673
Zr2 0.0000 0.0000 0.8327
Ta1 0.6667 0.3333 0.3459
Ta2 0.6667 0.3333 0.6541
Al1 0.0000 0.0000 0.5000
Al2 0.6667 0.3333 0.0000
C1 0.3333 0.6667 0.2622
C2 0.3333 0.6667 0.7378

Peak list (8 most intense, 5 to 70 degrees two-theta, sorted by position)
d [Å], I (rel.)
14.284, 444
7.142, 335
2.767, 279
2.716, 249
2.392, 1000
2.381, 181
1.805, 162
1.598, 204